Simulated powder diffractogram
Compound: CrAuSeF2
Radiation: Cu Kα
Structure: the GGA+U geometry in Alexandria
Lines closer than 0.1° are merged.

Cell and atoms:
Cell: 3.8693 3.8693 5.7585 Å, 90.00 90.00 90.00°
Fractional positions:
1 Cr 0.0000 0.0000 0.0000
2 Au 0.5000 0.5000 0.5000
3 Se 0.0000 0.0000 0.5000
4 F 0.0000 0.5000 0.0000
5 F 0.5000 0.0000 0.0000

Largest 12 diffraction maxima, sorted by position, 2θ = 15–90°:
| 2θ/deg | I/Imax |
| --- | --- |
| 15.39 | 91 |
| 27.78 | 86 |
| 31.06 | 76 |
| 32.73 | 81 |
| 36.35 | 100 |
| 45.75 | 65 |
| 46.97 | 47 |
| 49.72 | 22 |
| 55.45 | 25 |
| 57.38 | 50 |
| 58.76 | 25 |
| 86.41 | 23 |